Structure and simulated PXRD pattern of CsKSb5 (the GGA-PBE geometry in Alexandria; Cu Kα X-rays).
Neutral-atom scattering factors, no anomalous dispersion.

Cell and atoms:
Cell lengths 6.062, 12.959, 13.831 Å; angles 90.00, 98.78, 90.00 degrees
Space group C2/c (No. 15)
Asymmetric unit:
Cs: 0.000 0.235 0.250 (multiplicity 4)
K: 0.250 0.250 0.000 (multiplicity 4)
Sb: 0.000 0.077 0.750 (multiplicity 4)
Sb: 0.094 0.473 0.647 (multiplicity 8)
Sb: 0.192 0.068 0.541 (multiplicity 8)

Most intense lines, 2θ from 15° to 90°, by angle:
two_theta	I (rel.)	h k l
26.8	100	1 3 1
28.9	68	1 1 -4
30.8	17	1 3 -3
34.5	39	2 0 2
35.6	13	0 2 5
36.0	13	2 2 -3
43.3	20	0 4 5
43.6	20	2 4 -3
45.2	18	1 1 6
45.9	19	3 1 -2